Record 1
Structure and simulated powder X-ray diffraction pattern of Pr6Co2ICl3 (a GGA-PBE-relaxed structure; a wavelength of 1.5418 Å).
Intensities are scaled so that the largest is 100.

Most intense lines, 10° ≤ 2θ ≤ 80°, low angle first:
12.5°, intensity 24; 26.4°, intensity 21; 29.3°, intensity 53; 29.5°, intensity 100; 41.3°, intensity 22; 42.9°, intensity 32; 44.7°, intensity 18; 54.4°, intensity 15

Atomic structure:
```
data_Pr6Co2ICl3
_chemical_formula_sum 'Pr6 Co2 I1 Cl3'
_space_group_name_H-M_alt 'P 1'
_space_group_IT_number 1
_cell_length_a 9.5218
_cell_length_b 9.5218
_cell_length_c 9.0883
_cell_angle_alpha 100.59
_cell_angle_beta 100.59
_cell_angle_gamma 24.59
loop_
_space_group_symop_operation_xyz
'x,y,z'
loop_
_atom_site_label
_atom_site_type_symbol
_atom_site_fract_x
_atom_site_fract_y
_atom_site_fract_z
Pr1 Pr 0.0241 0.0241 0.2889
Pr2 Pr 0.3183 0.3183 0.8599
Pr3 Pr 0.3233 0.3233 0.4436
Pr4 Pr 0.6767 0.6767 0.5564
Pr5 Pr 0.6817 0.6817 0.1401
Pr6 Pr 0.9759 0.9759 0.7111
Co1 Co 0.1698 0.1698 0.3353
Co2 Co 0.8302 0.8302 0.6647
I1 I 0.5000 0.5000 0.0000
Cl1 Cl 0.1533 0.1533 0.8287
Cl2 Cl 0.5000 0.5000 0.5000
Cl3 Cl 0.8467 0.8467 0.1713
```

Record 2
Structure and simulated powder X-ray diffraction pattern of LaTmC (a GGA-PBE-relaxed structure; a wavelength of 1.5418 Å).
Intensities are scaled so that the largest is 100.

Most intense lines, 10° ≤ 2θ ≤ 80°, low angle first:
10.7°, intensity 52; 28.1°, intensity 90; 30.4°, intensity 100; 32.8°, intensity 71; 36.0°, intensity 37; 37.3°, intensity 20; 49.5°, intensity 44; 58.5°, intensity 24

Atomic structure:
```
data_LaTmC
_chemical_formula_sum 'La2 Tm2 C2'
_space_group_name_H-M_alt 'P 1'
_space_group_IT_number 1
_cell_length_a 3.6334
_cell_length_b 4.9914
_cell_length_c 8.2509
_cell_angle_alpha 90.00
_cell_angle_beta 90.00
_cell_angle_gamma 90.00
loop_
_space_group_symop_operation_xyz
'x,y,z'
loop_
_atom_site_label
_atom_site_type_symbol
_atom_site_fract_x
_atom_site_fract_y
_atom_site_fract_z
La1 La 0.2500 0.2500 0.1721
La2 La 0.7500 0.7500 0.8279
Tm1 Tm 0.2500 0.2500 0.5862
Tm2 Tm 0.7500 0.7500 0.4138
C1 C 0.2500 0.7500 0.6159
C2 C 0.7500 0.2500 0.3841
```

Record 3
Structure and simulated powder X-ray diffraction pattern of K3NiCl6 (a GGA-PBE-relaxed structure; a wavelength of 1.5418 Å).
Intensities are scaled so that the largest is 100.

Most intense lines, 10° ≤ 2θ ≤ 80°, low angle first:
14.8°, intensity 79; 25.1°, intensity 100; 31.9°, intensity 93; 35.7°, intensity 50; 41.0°, intensity 62; 43.4°, intensity 54; 58.0°, intensity 42; 67.8°, intensity 42

Atomic structure:
```
data_K3NiCl6
_chemical_formula_sum 'K6 Ni2 Cl12'
_space_group_name_H-M_alt 'P 1'
_space_group_IT_number 1
_cell_length_a 7.1062
_cell_length_b 7.1062
_cell_length_c 11.2253
_cell_angle_alpha 90.00
_cell_angle_beta 90.00
_cell_angle_gamma 90.00
loop_
_space_group_symop_operation_xyz
'x,y,z'
loop_
_atom_site_label
_atom_site_type_symbol
_atom_site_fract_x
_atom_site_fract_y
_atom_site_fract_z
K1 K 0.0000 0.0000 0.0000
K2 K 0.0000 0.5000 0.2500
K3 K 0.0000 0.5000 0.7500
K4 K 0.5000 0.0000 0.2500
K5 K 0.5000 0.0000 0.7500
K6 K 0.5000 0.5000 0.5000
Ni1 Ni 0.0000 0.0000 0.5000
Ni2 Ni 0.5000 0.5000 0.0000
Cl1 Cl 0.0000 0.0000 0.2713
Cl2 Cl 0.0000 0.0000 0.7287
Cl3 Cl 0.1139 0.2930 0.5000
Cl4 Cl 0.2070 0.3861 0.0000
Cl5 Cl 0.2930 0.8861 0.5000
Cl6 Cl 0.3861 0.7930 0.0000
Cl7 Cl 0.5000 0.5000 0.2287
Cl8 Cl 0.5000 0.5000 0.7713
Cl9 Cl 0.6139 0.2070 0.0000
Cl10 Cl 0.7070 0.1139 0.5000
Cl11 Cl 0.7930 0.6139 0.0000
Cl12 Cl 0.8861 0.7070 0.5000
```

Record 4
Structure and simulated powder X-ray diffraction pattern of Sr2PF (a GGA-PBE-relaxed structure; a wavelength of 1.5418 Å).
Intensities are scaled so that the largest is 100.

Most intense lines, 10° ≤ 2θ ≤ 80°, low angle first:
24.8°, intensity 52; 25.7°, intensity 54; 28.4°, intensity 100; 30.8°, intensity 50; 39.4°, intensity 32; 41.9°, intensity 23; 42.4°, intensity 74; 52.9°, intensity 22

Atomic structure:
```
data_Sr2PF
_chemical_formula_sum 'Sr4 P2 F2'
_space_group_name_H-M_alt 'P 1'
_space_group_IT_number 1
_cell_length_a 4.3155
_cell_length_b 9.1549
_cell_length_c 5.7996
_cell_angle_alpha 90.00
_cell_angle_beta 90.00
_cell_angle_gamma 90.00
loop_
_space_group_symop_operation_xyz
'x,y,z'
loop_
_atom_site_label
_atom_site_type_symbol
_atom_site_fract_x
_atom_site_fract_y
_atom_site_fract_z
Sr1 Sr 0.0000 0.0723 0.0000
Sr2 Sr 0.0000 0.6131 0.0158
Sr3 Sr 0.5000 0.3869 0.5158
Sr4 Sr 0.5000 0.9277 0.5000
P1 P 0.0000 0.1583 0.5001
P2 P 0.5000 0.8417 0.0001
F1 F 0.0000 0.5416 0.4263
F2 F 0.5000 0.4584 0.9263
```